No. 1
Diffraction record for PmSmCd5. The powder X-ray diffraction pattern is simulated, not measured: it uses a crystal structure in Alexandria, relaxed with GGA-PBE and Cu Kα (λ = 1.5418 Å).
Lines closer than 0.1° are merged.

Structural model:
```
PmSmCd5
1.0
5.2177 0.0000 0.0000
0.0000 5.2177 0.0000
0.0000 0.0000 6.9855
Pm Sm Cd
1 1 5
direct
0.0000 0.0000 0.0000
0.5000 0.5000 0.5000
0.0000 0.5000 0.2646
0.0000 0.5000 0.7354
0.5000 0.0000 0.2646
0.5000 0.0000 0.7354
0.5000 0.5000 0.0000
```

Peak list (10 most intense, 10 to 90 degrees two-theta, in order of rising 2θ)
2θ/deg, Rel. int.
21.25, 16
34.38, 55
35.39, 100
49.40, 19
52.39, 8
62.23, 37
64.18, 16
74.87, 10
82.72, 8
83.30, 8

***

No. 2
Diffraction record for Pm8SmCd2. The powder X-ray diffraction pattern is simulated, not measured: it uses a crystal structure in Alexandria, relaxed with GGA-PBE and Cu Kα (λ = 1.5418 Å).
Lines closer than 0.1° are merged.

Structural model:
```
Pm8SmCd2
1.0
8.4752 -2.7059 0.0000
8.4752 2.7059 0.0000
-3.5530 0.0000 7.7244
Pm Sm Cd
8 1 2
direct
0.0540 0.0540 0.2376
0.1500 0.1500 0.7075
0.3120 0.3120 0.5439
0.3980 0.3980 0.0319
0.6020 0.6020 0.9681
0.6880 0.6880 0.4561
0.8500 0.8500 0.2925
0.9460 0.9460 0.7624
0.5000 0.5000 0.5000
0.2222 0.2222 0.1308
0.7778 0.7778 0.8692
```

Peak list (10 most intense, 10 to 90 degrees two-theta, in order of rising 2θ)
2θ/deg, Rel. int.
30.91, 93
31.14, 100
32.78, 41
33.11, 45
41.45, 19
47.28, 30
54.04, 17
57.63, 15
57.77, 16
57.91, 17

***

No. 3
Diffraction record for PmSmCd14. The powder X-ray diffraction pattern is simulated, not measured: it uses a crystal structure in Alexandria, relaxed with GGA-PBE and Cu Kα (λ = 1.5418 Å).
Lines closer than 0.1° are merged.

Structural model:
```
PmSmCd14
1.0
6.6812 0.0000 0.0000
0.0000 6.6812 0.0000
0.0000 0.0000 8.4599
Pm Sm Cd
1 1 14
direct
0.0000 0.0000 0.0000
0.5000 0.5000 0.0000
0.0000 0.0000 0.5000
0.0000 0.5000 0.0000
0.0000 0.5000 0.5000
0.2504 0.2504 0.2612
0.2504 0.2504 0.7388
0.2504 0.7496 0.2612
0.2504 0.7496 0.7388
0.5000 0.0000 0.0000
0.5000 0.0000 0.5000
0.5000 0.5000 0.5000
0.7496 0.2504 0.2612
0.7496 0.2504 0.7388
0.7496 0.7496 0.2612
0.7496 0.7496 0.7388
```

Peak list (10 most intense, 10 to 90 degrees two-theta, in order of rising 2θ)
2θ/deg, Rel. int.
28.73, 1
34.20, 100
38.10, 37
42.75, 13
54.97, 12
58.58, 20
66.36, 27
72.05, 10
72.81, 10
81.49, 4